No. 1
Diffraction record for CaCr2F10. The PXRD pattern is theoretical, not measured: it uses a cell relaxed with GGA+U and Cu Kα (weighted mean of Kα1 and Kα2).
Kinematic intensities with the Lorentz-polarization factor, no thermal factor.

Principal peaks in the range 2θ = 15–90°, sorted by position:
d/Å  Position (°2θ)  I (rel.)  hkl
5.091  17.42  98.4  1 1 0
4.080  21.78  100.0  2 0 0
3.448  25.84  21.3  2 0 -2
3.428  25.99  19.8  0 0 2
3.277  27.22  97.0  1 1 -2
3.257  27.38  45.0  0 2 0
2.040  44.41  36.1  4 0 0
1.896  48.00  25.6  2 0 -4
1.884  48.30  30.0  1 3 -2
1.728  53.00  20.3  3 1 2

Structure:
```
data_CaCr2F10
_cell_length_a 9.0232
_cell_length_b 6.5146
_cell_length_c 7.5823
_cell_angle_alpha 90.00
_cell_angle_beta 115.27
_cell_angle_gamma 90.00
_symmetry_space_group_name_H-M 'C 1 2 1'
_symmetry_Int_Tables_number 5
loop_
_symmetry_equiv_pos_as_xyz
'x,y,z'
'-x,y,-z'
'x+1/2,y+1/2,z'
'-x+1/2,y+1/2,-z'
loop_
_atom_site_label
_atom_site_fract_x
_atom_site_fract_y
_atom_site_fract_z
Ca1 0.0000 0.0000 0.0000
Cr1 0.0055 0.4616 0.2564
F1 0.0000 0.3888 0.0000
F2 0.0000 0.5265 0.5000
F3 0.0102 0.7382 0.2078
F4 0.0158 0.1842 0.7284
F5 0.2208 0.4450 0.3654
F6 0.2233 0.4801 0.8653
```

---

No. 2
Diffraction record for CaCrF5. The PXRD pattern is theoretical, not measured: it uses a cell relaxed with GGA+U and Cu Kα (weighted mean of Kα1 and Kα2).
Kinematic intensities with the Lorentz-polarization factor, no thermal factor.

Principal peaks in the range 2θ = 15–90°, sorted by position:
d/Å  Position (°2θ)  I (rel.)  hkl
4.654  19.07  47.5  1 1 0
3.657  24.34  100.0  1 2 0
3.389  26.30  80.6  0 1 2
2.940  30.40  28.3  0 2 2
2.857  31.31  9.3  1 3 0
2.074  43.63  34.9  2 3 0
1.912  47.56  24.6  1 0 -4
1.818  50.19  20.1  1 4 2
1.813  50.33  18.1  2 4 -2
1.697  54.04  10.5  0 2 4

Structure:
```
data_CaCrF5
_cell_length_a 5.5548
_cell_length_b 10.2380
_cell_length_c 7.6483
_cell_angle_alpha 90.00
_cell_angle_beta 109.84
_cell_angle_gamma 90.00
_symmetry_space_group_name_H-M 'P 1 21/c 1'
_symmetry_Int_Tables_number 14
loop_
_symmetry_equiv_pos_as_xyz
'x,y,z'
'-x,-y,-z'
'-x,y+1/2,-z+1/2'
'x,-y+1/2,z+1/2'
loop_
_atom_site_label
_atom_site_fract_x
_atom_site_fract_y
_atom_site_fract_z
Ca1 0.0284 0.0193 0.2541
Cr1 0.3917 0.2462 0.5991
F1 0.1120 0.1181 0.5559
F2 0.1437 0.1120 0.0056
F3 0.3297 0.6366 0.3591
F4 0.3518 0.2039 0.3384
F5 0.3779 0.6046 0.8113
```

---

No. 3
Diffraction record for CaCr6O4F4. The PXRD pattern is theoretical, not measured: it uses a cell relaxed with GGA+U and Cu Kα (weighted mean of Kα1 and Kα2).
Kinematic intensities with the Lorentz-polarization factor, no thermal factor.

Principal peaks in the range 2θ = 15–90°, sorted by position:
d/Å  Position (°2θ)  I (rel.)  hkl
5.573  15.90  40.1  0 1 0
4.204  21.13  38.5  1 0 -1
3.707  24.01  23.5  1 1 -1
2.831  31.60  27.5  1 0 -2
2.787  32.12  39.5  0 2 0
2.698  33.21  28.9  1 1 2
2.411  37.29  59.8  -1 1 2
2.386  37.70  100.0  1 -1 2
2.261  39.87  42.7  2 2 0
1.674  54.83  23.3  1 3 2

Structure:
```
data_CaCr6O4F4
_cell_length_a 5.6358
_cell_length_b 5.7703
_cell_length_c 6.6377
_cell_angle_alpha 88.81
_cell_angle_beta 89.56
_cell_angle_gamma 75.02
_symmetry_space_group_name_H-M 'P 1'
_symmetry_Int_Tables_number 1
loop_
_symmetry_equiv_pos_as_xyz
'x,y,z'
loop_
_atom_site_label
_atom_site_fract_x
_atom_site_fract_y
_atom_site_fract_z
Ca1 0.0000 0.0000 0.0000
Cr1 0.0068 0.5247 0.2558
Cr2 0.2532 0.0059 0.4004
Cr3 0.4864 0.4837 0.5003
Cr4 0.5176 0.5149 0.0048
Cr5 0.5728 0.9998 0.7501
Cr6 0.9816 0.5010 0.7518
O1 0.1914 0.3420 0.5098
O2 0.2877 0.6936 0.2389
O3 0.7047 0.3200 0.7669
O4 0.8049 0.6908 0.9985
F1 0.2123 0.7445 0.7623
F2 0.2824 0.2525 0.9946
F3 0.7018 0.7216 0.4929
F4 0.8002 0.2660 0.2411
```

---

No. 4
Diffraction record for SrCaCrF7. The PXRD pattern is theoretical, not measured: it uses a cell relaxed with GGA+U and Cu Kα (weighted mean of Kα1 and Kα2).
Kinematic intensities with the Lorentz-polarization factor, no thermal factor.

Principal peaks in the range 2θ = 15–90°, sorted by position:
d/Å  Position (°2θ)  I (rel.)  hkl
4.047  21.96  44.1  2 0 0
3.752  23.71  52.8  2 0 1
3.705  24.02  100.0  0 2 0
3.043  29.35  58.1  0 1 3
2.897  30.87  21.7  2 1 2
2.373  37.91  43.2  3 0 2
1.985  45.70  42.6  0 3 3
1.952  46.52  22.7  4 1 0
1.943  46.74  21.7  2 3 2
1.783  51.25  20.8  2 3 3

Structure:
```
data_SrCaCrF7
_cell_length_a 8.0947
_cell_length_b 7.4108
_cell_length_c 10.0124
_cell_angle_alpha 90.00
_cell_angle_beta 90.00
_cell_angle_gamma 90.00
_symmetry_space_group_name_H-M 'P n m a'
_symmetry_Int_Tables_number 62
loop_
_symmetry_equiv_pos_as_xyz
'x,y,z'
'-x,-y,-z'
'-x+1/2,-y,z+1/2'
'x+1/2,y,-z+1/2'
'x+1/2,-y+1/2,-z+1/2'
'-x+1/2,y+1/2,z+1/2'
'-x,y+1/2,-z'
'x,-y+1/2,z'
loop_
_atom_site_label
_atom_site_fract_x
_atom_site_fract_y
_atom_site_fract_z
Sr1 0.1967 0.2500 0.1057
Ca1 0.1187 0.7500 0.2566
Cr1 0.1854 0.2500 0.4452
F1 0.0367 0.7500 0.4783
F2 0.1014 0.7500 0.8626
F3 0.1213 0.0656 0.3153
F4 0.1261 0.2500 0.8586
F5 0.2410 0.5771 0.0801
```

---

No. 5
Diffraction record for CaLaCrFeO6. The PXRD pattern is theoretical, not measured: it uses a cell relaxed with GGA+U and Cu Kα (weighted mean of Kα1 and Kα2).
Kinematic intensities with the Lorentz-polarization factor, no thermal factor.

Principal peaks in the range 2θ = 15–90°, sorted by position:
d/Å  Position (°2θ)  I (rel.)  hkl
4.487  19.79  60.2  1 0 0
2.765  32.38  32.4  0 2 0
2.749  32.58  100.0  1 1 1
2.738  32.71  67.0  1 1 -3
2.352  38.27  18.8  2 1 -1
2.246  40.15  15.8  0 2 2
1.951  46.55  43.9  2 2 -2
1.928  47.15  21.8  0 0 4
1.592  57.93  21.8  1 3 1
1.582  58.34  20.8  0 2 4

Structure:
```
data_CaLaCrFeO6
_cell_length_a 5.5065
_cell_length_b 5.5293
_cell_length_c 9.4552
_cell_angle_alpha 90.00
_cell_angle_beta 125.37
_cell_angle_gamma 90.00
_symmetry_space_group_name_H-M 'P 1 c 1'
_symmetry_Int_Tables_number 7
loop_
_symmetry_equiv_pos_as_xyz
'x,y,z'
'x,-y,z+1/2'
loop_
_atom_site_label
_atom_site_fract_x
_atom_site_fract_y
_atom_site_fract_z
Ca1 0.0000 0.2125 0.0000
La1 0.5219 0.2784 0.5019
Cr1 0.2631 0.2495 0.7515
Fe1 0.7623 0.2503 0.2503
O1 0.0112 0.4740 0.2080
O2 0.0909 0.2329 0.5065
O3 0.4242 0.2636 0.9935
O4 0.5139 0.0227 0.2890
O5 0.5895 0.4662 0.7946
O6 0.9411 0.0295 0.7087
```

---

No. 6
Diffraction record for Ca2CrFeO5. The PXRD pattern is theoretical, not measured: it uses a cell relaxed with GGA+U and Cu Kα (weighted mean of Kα1 and Kα2).
Kinematic intensities with the Lorentz-polarization factor, no thermal factor.

Principal peaks in the range 2θ = 15–90°, sorted by position:
d/Å  Position (°2θ)  I (rel.)  hkl
3.711  23.98  12.1  0 3 1
2.845  31.45  38.2  0 0 2
2.748  32.58  47.0  2 0 0
2.690  33.30  100.0  1 4 1
2.610  34.36  12.1  0 5 1
2.081  43.48  15.4  1 6 1
1.977  45.91  41.7  2 0 2
1.836  49.66  18.1  0 8 0
1.611  57.18  18.1  1 4 3
1.575  58.60  15.0  3 4 1

Structure:
```
data_Ca2CrFeO5
_cell_length_a 5.4970
_cell_length_b 14.6872
_cell_length_c 5.6890
_cell_angle_alpha 90.00
_cell_angle_beta 90.00
_cell_angle_gamma 90.00
_symmetry_space_group_name_H-M 'P n m a'
_symmetry_Int_Tables_number 62
loop_
_symmetry_equiv_pos_as_xyz
'x,y,z'
'-x,-y,-z'
'-x+1/2,-y,z+1/2'
'x+1/2,y,-z+1/2'
'x+1/2,-y+1/2,-z+1/2'
'-x+1/2,y+1/2,z+1/2'
'-x,y+1/2,-z'
'x,-y+1/2,z'
loop_
_atom_site_label
_atom_site_fract_x
_atom_site_fract_y
_atom_site_fract_z
Ca1 0.0217 0.1067 0.0250
Cr1 0.0000 0.0000 0.5000
Fe1 0.0542 0.2500 0.5691
O1 0.0279 0.6395 0.5753
O2 0.0922 0.7500 0.1199
O3 0.2348 0.5190 0.2350
```